This entry pairs a crystal structure of Ta4BTe8 with its computed X-ray diffraction stick pattern. Radiation: Cu Kα (weighted mean of Kα1 and Kα2). Structure: a DFT-relaxed cell (GGA-PBE, the Materials Project).

Principal peaks in the range 10 to 90 degrees two-theta, low angle first:
index	2θ (°)	Rel. int.
0 2 0	10.5	39
2 0 1	29.1	31
3 4 0	31.3	75
2 3 1	33.2	100
1 4 1	33.5	81
3 1 1	34.3	57
4 3 0	34.8	45
1 7 0	38.0	36
2 5 1	39.6	76
5 1 1	46.8	49
0 0 2	50.4	44
2 8 1	52.5	31

Atomic structure:
Cell lengths 11.615, 16.914, 3.623 Å; angles 90.00, 90.00, 90.00 degrees
Fractional coordinates of all 26 atoms:
Ta 0.073 0.071 0.000
Ta 0.157 0.925 0.500
Ta 0.343 0.425 0.500
Ta 0.427 0.571 0.000
Ta 0.573 0.429 0.000
Ta 0.657 0.575 0.500
Ta 0.843 0.075 0.500
Ta 0.927 0.929 0.000
B 0.000 0.000 0.500
B 0.500 0.500 0.500
Te 0.089 0.808 0.000
Te 0.128 0.329 0.500
Te 0.200 0.506 0.000
Te 0.203 0.171 0.500
Te 0.297 0.671 0.500
Te 0.300 0.006 0.000
Te 0.372 0.829 0.500
Te 0.411 0.308 0.000
Te 0.589 0.692 0.000
Te 0.628 0.171 0.500
Te 0.700 0.994 0.000
Te 0.703 0.329 0.500
Te 0.797 0.829 0.500
Te 0.800 0.494 0.000
Te 0.872 0.671 0.500
Te 0.911 0.192 0.000